# Rb2Zn3F8
Calculated XRD peak list, Cu Ka. Input: a DFT-relaxed cell (PBE, Alexandria).
Lines closer than 0.1° are merged.

Crystal structure
a b c (Å): 7.3340 7.3340 5.5086
angles (deg): 106.98 106.98 52.59
Sites, in units of the cell vectors:
Rb  0.2233  0.2233  0.1743
Rb  0.7767  0.7767  0.8257
Zn  0.2411  0.7589  0.5000
Zn  0.5000  0.5000  0.0000
Zn  0.7589  0.2411  0.5000
F  0.0988  0.0988  0.4819
F  0.1985  0.6297  0.1232
F  0.3703  0.8015  0.8768
F  0.4122  0.4122  0.6001
F  0.5878  0.5878  0.3999
F  0.6297  0.1985  0.1232
F  0.8015  0.3703  0.8768
F  0.9012  0.9012  0.5181

Peak list (8 most intense, 2θ = 5–70°, low angle first)
| Position (°2θ) | I_rel |
| --- | --- |
| 14.25 | 52 |
| 24.72 | 100 |
| 25.49 | 42 |
| 26.53 | 99 |
| 31.06 | 59 |
| 39.79 | 54 |
| 47.73 | 46 |
| 50.32 | 41 |


# Rb5ZnF8
Calculated XRD peak list, Cu Ka. Input: a DFT-relaxed cell (PBE, Alexandria).
Lines closer than 0.1° are merged.

Crystal structure
a b c (Å): 7.2870 7.2870 7.2870
angles (deg): 111.99 111.99 104.53
Sites, in units of the cell vectors:
Rb  0.0000  0.0000  0.0000
Rb  0.1229  0.5213  0.8739
Rb  0.4787  0.3526  0.6015
Rb  0.6474  0.2490  0.1261
Rb  0.7510  0.8771  0.3985
Zn  0.2500  0.7500  0.5000
F  0.0140  0.2365  0.4058
F  0.2493  0.0231  0.6785
F  0.3446  0.5708  0.3215
F  0.3918  0.9860  0.2224
F  0.4292  0.7507  0.7738
F  0.7635  0.1694  0.7776
F  0.8306  0.6082  0.5942
F  0.9769  0.6554  0.2262

Peak list (8 most intense, 2θ = 5–70°, low angle first)
| Position (°2θ) | I_rel |
| --- | --- |
| 25.25 | 64 |
| 26.42 | 100 |
| 32.05 | 48 |
| 34.51 | 34 |
| 34.81 | 42 |
| 39.10 | 26 |
| 46.42 | 22 |
| 50.74 | 28 |


# Rb2ZrF
Calculated XRD peak list, Cu Ka. Input: a DFT-relaxed cell (PBE, Alexandria).
Lines closer than 0.1° are merged.

Crystal structure
a b c (Å): 7.7245 7.7245 7.7245
angles (deg): 115.61 115.61 97.79
Sites, in units of the cell vectors:
Rb  0.3750  0.0085  0.1335
Rb  0.7585  0.6250  0.6335
Rb  0.8750  0.2415  0.8665
Rb  0.9915  0.1250  0.3665
Zr  0.2500  0.7500  0.5000
Zr  0.5000  0.5000  0.0000
F  0.0000  0.0000  0.0000
F  0.7500  0.2500  0.5000

Peak list (8 most intense, 2θ = 5–70°, low angle first)
| Position (°2θ) | I_rel |
| --- | --- |
| 23.24 | 82 |
| 25.74 | 100 |
| 27.90 | 18 |
| 28.51 | 25 |
| 34.46 | 18 |
| 38.88 | 20 |
| 41.80 | 23 |
| 56.63 | 17 |